[1]
Computed X-ray powder pattern
Compound: K3Pd
Radiation: Cu Kα, 1.54184 Å
Structure: a structure optimized by DFT (GGA-PBE)
Lines closer than 0.1° are merged.

The 8 most intense peaks (10 to 90 degrees two-theta), sorted by position:
two_theta	I/Imax
16.8	274
17.3	211
19.2	540
30.1	933
30.8	1000
34.7	348
43.6	287
53.9	261

Cell and atoms:
```
K3Pd
1.0
10.2810 0.0000 0.0000
-5.1405 8.9036 0.0000
0.0000 0.0000 10.5515
K Pd
18 6
direct
0.0000 0.0000 0.0000
0.0000 0.0000 0.5000
0.0000 0.2803 0.7714
0.0000 0.3819 0.1223
0.0000 0.6181 0.6223
0.0000 0.7197 0.2714
0.2803 0.0000 0.7714
0.2803 0.2803 0.2714
0.3333 0.6667 0.4156
0.3333 0.6667 0.9156
0.3819 0.0000 0.1223
0.3819 0.3819 0.6223
0.6181 0.0000 0.6223
0.6181 0.6181 0.1223
0.6667 0.3333 0.4156
0.6667 0.3333 0.9156
0.7197 0.0000 0.2714
0.7197 0.7197 0.7714
0.0000 0.3256 0.4450
0.0000 0.6744 0.9450
0.3256 0.0000 0.4450
0.3256 0.3256 0.9450
0.6744 0.0000 0.9450
0.6744 0.6744 0.4450
```


[2]
Computed X-ray powder pattern
Compound: NbH4
Radiation: Cu Kα, 1.54184 Å
Structure: a structure optimized by DFT (GGA-PBE)
Lines closer than 0.1° are merged.

The 8 most intense peaks (10 to 90 degrees two-theta), sorted by position:
two_theta	I/Imax
11.1	1000
32.7	434
33.2	207
33.9	211
35.4	188
37.1	237
37.7	118
41.8	333

Cell and atoms:
```
NbH4
1.0
2.7732 -1.6274 0.0000
2.7732 1.6274 0.0000
-1.9206 0.0000 7.9381
Nb H
2 8
direct
0.2177 0.2177 0.1543
0.7823 0.7823 0.8457
0.1415 0.1415 0.9148
0.1912 0.1912 0.3908
0.3435 0.3435 0.4033
0.4183 0.4183 0.7645
0.5817 0.5817 0.2355
0.6565 0.6565 0.5967
0.8088 0.8088 0.6092
0.8585 0.8585 0.0852
```


[3]
Computed X-ray powder pattern
Compound: Sr2LiPt
Radiation: Cu Kα, 1.54184 Å
Structure: a structure optimized by DFT (GGA-PBE)
Lines closer than 0.1° are merged.

The 8 most intense peaks (10 to 90 degrees two-theta), sorted by position:
two_theta	I/Imax
15.6	759
19.2	237
25.0	251
27.3	183
33.6	1000
35.4	142
35.7	113
52.4	110

Cell and atoms:
```
Sr2LiPt
1.0
7.9583 0.0000 0.0000
0.0000 8.0446 0.0000
0.0000 0.0000 8.0108
Sr Li Pt
8 4 4
direct
0.1698 0.0006 0.1611
0.1698 0.4994 0.1611
0.3302 0.5006 0.6611
0.3302 0.9994 0.6611
0.6698 0.0006 0.3389
0.6698 0.4994 0.3389
0.8302 0.5006 0.8389
0.8302 0.9994 0.8389
0.0240 0.7500 0.4462
0.4760 0.2500 0.9462
0.5240 0.7500 0.0538
0.9760 0.2500 0.5538
0.1337 0.2500 0.8651
0.3663 0.7500 0.3651
0.6337 0.2500 0.6349
0.8663 0.7500 0.1349
```


[4]
Computed X-ray powder pattern
Compound: PrErAu6
Radiation: Cu Kα, 1.54184 Å
Structure: a structure optimized by DFT (GGA-PBE)
Lines closer than 0.1° are merged.

The 8 most intense peaks (10 to 90 degrees two-theta), sorted by position:
two_theta	I/Imax
33.4	263
35.4	419
38.0	1000
39.1	505
49.5	177
61.4	168
65.3	208
72.9	362

Cell and atoms:
```
PrErAu6
1.0
5.0674 0.0000 0.0000
0.0000 6.2756 0.0000
0.0000 0.0000 5.1709
Pr Er Au
1 1 6
direct
0.0000 0.0000 0.0000
0.5000 0.5000 0.6870
0.0000 0.2671 0.5034
0.0000 0.5000 0.0042
0.0000 0.7329 0.5034
0.5000 0.0000 0.6619
0.5000 0.2537 0.1816
0.5000 0.7463 0.1816
```


[5]
Computed X-ray powder pattern
Compound: Dy4Y2As3
Radiation: Cu Kα, 1.54184 Å
Structure: a structure optimized by DFT (GGA-PBE)
Lines closer than 0.1° are merged.

The 8 most intense peaks (10 to 90 degrees two-theta), sorted by position:
two_theta	I/Imax
23.8	202
32.2	1000
33.0	512
34.6	618
37.5	686
41.1	518
61.4	395
63.1	296

Cell and atoms:
```
Dy4Y2As3
1.0
8.3022 0.0000 0.0000
-4.1511 7.1899 0.0000
0.0000 0.0000 3.7374
Dy Y As
4 2 3
direct
0.0000 0.0000 0.0000
0.3992 0.0637 0.0000
0.6646 0.6008 0.0000
0.9363 0.3354 0.0000
0.3333 0.6667 0.0000
0.6667 0.3333 0.5000
0.0508 0.7172 0.5000
0.2828 0.3336 0.5000
0.6664 0.9492 0.5000
```


[6]
Computed X-ray powder pattern
Compound: Ba2Ge4Pd5
Radiation: Cu Kα, 1.54184 Å
Structure: a structure optimized by DFT (GGA-PBE)
Lines closer than 0.1° are merged.

The 8 most intense peaks (10 to 90 degrees two-theta), sorted by position:
two_theta	I/Imax
25.2	257
29.0	193
32.2	254
34.1	1000
39.3	327
42.6	290
55.8	221
58.6	205

Cell and atoms:
```
Ba2Ge4Pd5
1.0
5.5671 -7.1756 0.0000
5.5671 7.1756 0.0000
0.0000 0.0000 5.9709
Ba Ge Pd
4 8 10
direct
0.1423 0.8577 0.9672
0.3577 0.6423 0.4672
0.6423 0.3577 0.5328
0.8577 0.1423 0.0328
0.0441 0.2924 0.5581
0.2076 0.4559 0.9419
0.2924 0.0441 0.4419
0.4559 0.2076 0.0581
0.5441 0.7924 0.9419
0.7076 0.9559 0.5581
0.7924 0.5441 0.0581
0.9559 0.7076 0.4419
0.0000 0.0000 0.5000
0.0226 0.4774 0.2500
0.2264 0.2736 0.2500
0.2736 0.2264 0.7500
0.4774 0.0226 0.7500
0.5000 0.5000 0.0000
0.5226 0.9774 0.2500
0.7264 0.7736 0.2500
0.7736 0.7264 0.7500
0.9774 0.5226 0.7500
```